Record 1
# Nd4C2ICl4
Simulated X-ray powder pattern, Cu Kα. Input: a GGA-PBE-relaxed structure.
Intensities are scaled so that the largest is 100.

```
data_Nd4C2ICl4
_space_group_name_H-M_alt 'C 1 2/m 1'
_space_group_IT_number 12
_cell_length_a 19.369
_cell_length_b 3.994
_cell_length_c 8.379
_cell_angle_alpha 90.00
_cell_angle_beta 115.41
_cell_angle_gamma 90.00
loop_
_space_group_symop_operation_xyz
'x,y,z'
'-x,-y,-z'
'-x,y,-z'
'x,-y,z'
'x+1/2,y+1/2,z'
'-x+1/2,-y+1/2,-z'
'-x+1/2,y+1/2,-z'
'x+1/2,-y+1/2,z'
loop_
_atom_site_label
_atom_site_fract_x
_atom_site_fract_y
_atom_site_fract_z
Nd1 0.000 0.000 0.195
Nd2 0.168 0.500 0.167
C1 0.040 0.500 0.040
I1 0.000 0.500 0.500
Cl1 0.168 0.000 0.414
Cl2 0.168 0.000 0.920
```

Most intense lines, 5° ≤ 2θ ≤ 70°, low angle first:
(2 0 0), 2θ = 10.11°, rel. 44.3
(0 0 1), 2θ = 11.71°, rel. 29.9
(2 0 1), 2θ = 18.54°, rel. 48.8
(3 1 -1), 2θ = 26.74°, rel. 55.0
(6 0 0), 2θ = 30.66°, rel. 56.5
(1 1 -2), 2θ = 31.36°, rel. 100.0
(3 1 1), 2θ = 32.17°, rel. 32.7
(0 0 3), 2θ = 35.58°, rel. 21.5
(6 0 -3), 2θ = 35.70°, rel. 21.3
(3 1 2), 2θ = 40.42°, rel. 24.7
(7 1 -2), 2θ = 40.53°, rel. 25.3
(0 2 3), 2θ = 59.03°, rel. 20.3

***

Record 2
# LaSmHf
Simulated X-ray powder pattern, Cu Kα. Input: a GGA-PBE-relaxed structure.
Intensities are scaled so that the largest is 100.

```
data_LaSmHf
_space_group_name_H-M_alt 'C m c m'
_space_group_IT_number 63
_space_group_name_Hall '-C 2c 2'
_cell_length_a 5.442
_cell_length_b 9.845
_cell_length_c 6.633
_cell_angle_alpha 90.00
_cell_angle_beta 90.00
_cell_angle_gamma 90.00
loop_
_atom_site_label
_atom_site_fract_x
_atom_site_fract_y
_atom_site_fract_z
La1 0.000 0.178 0.250
Sm1 0.000 0.144 0.750
Hf1 0.000 0.500 0.000
```

Most intense lines, 5° ≤ 2θ ≤ 70°, low angle first:
(1 3 0), 2θ = 31.84°, rel. 67.2
(0 2 2), 2θ = 32.55°, rel. 27.8
(2 0 0), 2θ = 32.91°, rel. 100.0
(0 4 2), 2θ = 45.91°, rel. 14.5
(2 2 2), 2θ = 46.97°, rel. 20.1
(0 0 4), 2θ = 55.40°, rel. 7.6
(1 5 2), 2θ = 56.96°, rel. 8.3
(2 4 2), 2θ = 57.64°, rel. 14.8
(3 3 0), 2θ = 58.10°, rel. 12.2
(3 1 2), 2θ = 58.77°, rel. 13.0
(1 3 4), 2θ = 65.34°, rel. 17.1
(2 0 4), 2θ = 65.97°, rel. 8.9

***

Record 3
# Pr2Sc2CCl5
Simulated X-ray powder pattern, Cu Kα. Input: a GGA-PBE-relaxed structure.
Intensities are scaled so that the largest is 100.

```
data_Pr2Sc2CCl5
_space_group_name_H-M_alt 'C 1 2/m 1'
_space_group_IT_number 12
_cell_length_a 17.277
_cell_length_b 3.637
_cell_length_c 7.623
_cell_angle_alpha 90.00
_cell_angle_beta 107.20
_cell_angle_gamma 90.00
loop_
_space_group_symop_operation_xyz
'x,y,z'
'-x,-y,-z'
'-x,y,-z'
'x,-y,z'
'x+1/2,y+1/2,z'
'-x+1/2,-y+1/2,-z'
'-x+1/2,y+1/2,-z'
'x+1/2,-y+1/2,z'
loop_
_atom_site_label
_atom_site_fract_x
_atom_site_fract_y
_atom_site_fract_z
Pr1 0.152 0.000 0.106
Sc1 0.001 0.500 0.799
C1 0.000 0.000 0.000
Cl1 0.000 0.000 0.500
Cl2 0.152 0.500 0.386
Cl3 0.160 0.500 0.824
```

Most intense lines, 5° ≤ 2θ ≤ 70°, low angle first:
(0 0 1), 2θ = 12.15°, rel. 92.7
(2 0 1), 2θ = 18.48°, rel. 41.7
(4 0 -1), 2θ = 21.38°, rel. 36.5
(4 0 0), 2θ = 21.54°, rel. 22.0
(1 1 -1), 2θ = 27.22°, rel. 43.8
(3 1 -1), 2θ = 30.00°, rel. 31.9
(6 0 0), 2θ = 32.55°, rel. 56.9
(3 1 1), 2θ = 33.81°, rel. 44.2
(1 1 -2), 2θ = 34.12°, rel. 100.0
(6 0 -3), 2θ = 41.74°, rel. 32.7
(5 1 2), 2θ = 49.24°, rel. 36.8
(0 2 0), 2θ = 50.15°, rel. 23.8

***

Record 4
# BiPd19
Simulated X-ray powder pattern, Cu Kα. Input: a GGA-PBE-relaxed structure.
Intensities are scaled so that the largest is 100.

```
data_BiPd19
_space_group_name_H-M_alt 'P 1 21/m 1'
_space_group_IT_number 11
_cell_length_a 5.597
_cell_length_b 2.875
_cell_length_c 50.351
_cell_angle_alpha 90.00
_cell_angle_beta 90.00
_cell_angle_gamma 90.00
loop_
_space_group_symop_operation_xyz
'x,y,z'
'-x,-y,-z'
'-x,y+1/2,-z'
'x,-y+1/2,z'
loop_
_atom_site_label
_atom_site_fract_x
_atom_site_fract_y
_atom_site_fract_z
Bi1 0.125 0.250 0.136
Pd1 0.124 0.250 0.821
Pd2 0.125 0.250 0.218
Pd3 0.125 0.250 0.294
Pd4 0.125 0.250 0.369
Pd5 0.125 0.250 0.444
Pd6 0.125 0.250 0.519
Pd7 0.125 0.250 0.594
Pd8 0.125 0.250 0.669
Pd9 0.125 0.250 0.744
Pd10 0.374 0.750 0.179
Pd11 0.375 0.750 0.256
Pd12 0.375 0.750 0.331
Pd13 0.375 0.750 0.406
Pd14 0.375 0.750 0.481
Pd15 0.375 0.750 0.556
Pd16 0.375 0.750 0.631
Pd17 0.375 0.750 0.706
Pd18 0.375 0.750 0.782
Pd19 0.375 0.750 0.860
```

Most intense lines, 5° ≤ 2θ ≤ 70°, low angle first:
(0 0 3), 2θ = 5.27°, rel. 96.6
(0 1 13), 2θ = 39.02°, rel. 100.0
(2 0 13), 2θ = 39.74°, rel. 95.0
(0 1 14), 2θ = 40.16°, rel. 27.9
(2 0 14), 2θ = 40.86°, rel. 26.7
(2 1 0), 2θ = 45.22°, rel. 84.1
(0 0 26), 2θ = 46.92°, rel. 19.6
(0 0 27), 2θ = 48.84°, rel. 16.3
(0 2 0), 2θ = 64.86°, rel. 12.5
(4 0 0), 2θ = 66.86°, rel. 12.8
(2 1 26), 2θ = 67.20°, rel. 26.6
(2 1 27), 2θ = 68.74°, rel. 22.0

***

Record 5
# Hf3Sn7
Simulated X-ray powder pattern, Cu Kα. Input: a GGA-PBE-relaxed structure.
Intensities are scaled so that the largest is 100.

```
data_Hf3Sn7
_space_group_name_H-M_alt 'C m m m'
_space_group_IT_number 65
_space_group_name_Hall '-C 2 2'
_cell_length_a 4.361
_cell_length_b 25.205
_cell_length_c 4.250
_cell_angle_alpha 90.00
_cell_angle_beta 90.00
_cell_angle_gamma 90.00
loop_
_atom_site_label
_atom_site_fract_x
_atom_site_fract_y
_atom_site_fract_z
Hf1 0.000 0.000 0.000
Hf2 0.000 0.310 0.500
Sn1 0.000 0.099 0.500
Sn2 0.000 0.208 0.000
Sn3 0.000 0.401 0.000
Sn4 0.000 0.500 0.500
```

Most intense lines, 5° ≤ 2θ ≤ 70°, low angle first:
(1 3 0), 2θ = 22.98°, rel. 3.0
(1 5 1), 2θ = 34.42°, rel. 100.0
(0 8 1), 2θ = 35.47°, rel. 2.0
(0 10 0), 2θ = 35.62°, rel. 20.5
(1 9 0), 2θ = 38.19°, rel. 1.9
(2 0 0), 2θ = 41.41°, rel. 15.7
(0 0 2), 2θ = 42.54°, rel. 14.6
(0 14 1), 2θ = 55.43°, rel. 1.3
(2 10 0), 2θ = 55.74°, rel. 11.6
(0 10 2), 2θ = 56.66°, rel. 11.1
(2 0 2), 2θ = 60.87°, rel. 10.3
(1 15 1), 2θ = 63.21°, rel. 13.4

***

Record 6
# NdHo2Mg4In2
Simulated X-ray powder pattern, Cu Kα. Input: a GGA-PBE-relaxed structure.
Intensities are scaled so that the largest is 100.

```
data_NdHo2Mg4In2
_space_group_name_H-M_alt 'A m m 2'
_space_group_IT_number 38
_cell_length_a 4.701
_cell_length_b 13.300
_cell_length_c 7.537
_cell_angle_alpha 90.00
_cell_angle_beta 90.00
_cell_angle_gamma 90.00
loop_
_space_group_symop_operation_xyz
'x,y,z'
'-x,-y,z'
'-x,y,z'
'x,-y,z'
'x,y+1/2,z+1/2'
'-x,-y+1/2,z+1/2'
'-x,y+1/2,z+1/2'
'x,-y+1/2,z+1/2'
loop_
_atom_site_label
_atom_site_fract_x
_atom_site_fract_y
_atom_site_fract_z
Nd1 0.000 0.000 0.000
Ho1 0.000 0.218 0.648
Mg1 0.000 0.000 0.441
Mg2 0.500 0.000 0.677
Mg3 0.500 0.121 0.312
In1 0.500 0.170 0.929
```

Most intense lines, 5° ≤ 2θ ≤ 70°, low angle first:
(0 2 0), 2θ = 13.31°, rel. 37.0
(0 1 1), 2θ = 13.50°, rel. 45.0
(1 3 1), 2θ = 30.14°, rel. 91.1
(1 0 2), 2θ = 30.40°, rel. 52.3
(1 4 0), 2θ = 33.00°, rel. 47.8
(1 2 2), 2θ = 33.32°, rel. 100.0
(2 0 0), 2θ = 38.30°, rel. 37.7
(0 6 0), 2θ = 40.75°, rel. 22.8
(0 6 2), 2θ = 47.60°, rel. 19.4
(1 7 1), 2θ = 53.42°, rel. 23.9
(1 5 3), 2θ = 53.85°, rel. 20.0
(3 3 1), 2θ = 64.24°, rel. 22.8

***

Record 7
# Cu2F3
Simulated X-ray powder pattern, Cu Kα. Input: a GGA-PBE-relaxed structure.
Intensities are scaled so that the largest is 100.

```
data_Cu2F3
_space_group_name_H-M_alt 'I m m 2'
_space_group_IT_number 44
_cell_length_a 3.928
_cell_length_b 9.281
_cell_length_c 3.157
_cell_angle_alpha 90.00
_cell_angle_beta 90.00
_cell_angle_gamma 90.00
loop_
_space_group_symop_operation_xyz
'x,y,z'
'-x,-y,z'
'-x,y,z'
'x,-y,z'
'x+1/2,y+1/2,z+1/2'
'-x+1/2,-y+1/2,z+1/2'
'-x+1/2,y+1/2,z+1/2'
'x+1/2,-y+1/2,z+1/2'
loop_
_atom_site_label
_atom_site_fract_x
_atom_site_fract_y
_atom_site_fract_z
Cu1 0.000 0.150 0.000
F1 0.000 0.000 0.516
F2 0.000 0.323 0.459
```

Most intense lines, 5° ≤ 2θ ≤ 70°, low angle first:
(0 2 0), 2θ = 19.13°, rel. 23.5
(1 1 0), 2θ = 24.61°, rel. 77.6
(0 1 1), 2θ = 29.89°, rel. 41.7
(1 0 1), 2θ = 36.51°, rel. 26.0
(1 3 0), 2θ = 36.99°, rel. 20.8
(0 4 0), 2θ = 38.81°, rel. 17.1
(0 3 1), 2θ = 40.84°, rel. 100.0
(2 0 0), 2θ = 46.22°, rel. 36.8
(1 4 1), 2θ = 54.34°, rel. 33.8
(2 1 1), 2θ = 56.03°, rel. 13.1
(0 0 2), 2θ = 58.46°, rel. 15.9
(2 3 1), 2θ = 63.36°, rel. 45.9

***

Record 8
# SnAu7
Simulated X-ray powder pattern, Cu Kα. Input: a GGA-PBE-relaxed structure.
Intensities are scaled so that the largest is 100.

```
data_SnAu7
_space_group_name_H-M_alt 'P 4/n m m'
_space_group_IT_number 129
_cell_length_a 2.978
_cell_length_b 2.978
_cell_length_c 44.159
_cell_angle_alpha 90.00
_cell_angle_beta 90.00
_cell_angle_gamma 90.00
loop_
_space_group_symop_operation_xyz
'x,y,z'
'-x,-y,-z'
'-y+1/2,x,z'
'y+1/2,-x,-z'
'-x+1/2,-y+1/2,z'
'x+1/2,y+1/2,-z'
'y,-x+1/2,z'
'-y,x+1/2,-z'
'x+1/2,-y,-z'
'-x+1/2,y,z'
'-y,-x,-z'
'y,x,z'
'-x,y+1/2,-z'
'x,-y+1/2,z'
'y+1/2,x+1/2,-z'
'-y+1/2,-x+1/2,z'
loop_
_atom_site_label
_atom_site_fract_x
_atom_site_fract_y
_atom_site_fract_z
Sn1 0.250 0.250 0.148
Au1 0.250 0.250 0.246
Au2 0.250 0.250 0.339
Au3 0.250 0.250 0.431
Au4 0.250 0.250 0.523
Au5 0.250 0.250 0.615
Au6 0.250 0.250 0.707
Au7 0.250 0.250 0.801
```

Most intense lines, 5° ≤ 2θ ≤ 70°, low angle first:
(0 0 3), 2θ = 6.00°, rel. 4.4
(0 0 5), 2θ = 10.02°, rel. 2.2
(1 0 7), 2θ = 33.27°, rel. 1.9
(1 0 9), 2θ = 35.26°, rel. 6.7
(1 0 10), 2θ = 36.39°, rel. 35.1
(1 0 11), 2θ = 37.61°, rel. 100.0
(1 0 12), 2θ = 38.90°, rel. 4.2
(1 1 0), 2θ = 42.97°, rel. 56.9
(1 1 2), 2θ = 43.16°, rel. 3.0
(0 0 22), 2θ = 45.17°, rel. 11.9
(2 0 0), 2θ = 62.39°, rel. 28.8
(1 1 22), 2θ = 64.09°, rel. 17.0